Structure and theoretical X-ray diffraction stick pattern of CaSm2Dy3Te6 (a crystal structure in Alexandria, relaxed with GGA-PBE; λ = 1.5418 Å (Cu Kα)).
Peak positions follow from Bragg's law for the DFT cell and can differ from measured ones.

Atomic structure:
Lattice parameters (Å, degrees): 9.8690 9.8690 8.8388 103.21 103.21 25.74
Fractional coordinates of all 12 atoms:
Ca: 0.0000 0.0000 0.0000
Sm: 0.3275 0.3275 0.6558
Sm: 0.6725 0.6725 0.3442
Dy: 0.0000 0.0000 0.5000
Dy: 0.3312 0.3312 0.1728
Dy: 0.6688 0.6688 0.8272
Te: 0.1622 0.1622 0.5867
Te: 0.1666 0.1666 0.0777
Te: 0.4997 0.4997 0.2520
Te: 0.5003 0.5003 0.7480
Te: 0.8334 0.8334 0.9223
Te: 0.8378 0.8378 0.4133

Peak list (10 most intense, 5° ≤ 2θ ≤ 70°, by angle)
2θ (°)  intensity
10.29  2
12.25  3
28.64  100
40.86  38
41.03  38
50.51  7
50.80  20
59.29  12
67.03  17
67.28  17